# 1
Calculated XRD peak list of Ta8Mo6W for copper Kα, from a PBE-relaxed structure.

Structural model:
Cell lengths 7.055, 7.055, 7.055 Å; angles 62.84, 62.84, 62.84 degrees
Fractional positions:
Ta (0.082, 0.082, 0.082)
Ta (0.152, 0.631, 0.333)
Ta (0.333, 0.152, 0.631)
Ta (0.369, 0.667, 0.848)
Ta (0.631, 0.333, 0.152)
Ta (0.667, 0.848, 0.369)
Ta (0.848, 0.369, 0.667)
Ta (0.918, 0.918, 0.918)
Mo (0.041, 0.550, 0.787)
Mo (0.213, 0.959, 0.450)
Mo (0.450, 0.213, 0.959)
Mo (0.550, 0.787, 0.041)
Mo (0.787, 0.041, 0.550)
Mo (0.959, 0.450, 0.213)
W (0.500, 0.500, 0.500)

Top 6 peaks for 10 to 90 degrees two-theta, sorted by position:
2θ = 37.74°, rel. 85; 2θ = 38.87°, rel. 100; 2θ = 39.93°, rel. 35; 2θ = 40.33°, rel. 63; 2θ = 46.30°, rel. 30; 2θ = 67.36°, rel. 20



# 2
Calculated XRD peak list of Ta5Mo4W4 for copper Kα, from a PBE-relaxed structure.

Structural model:
Cell lengths 7.306, 7.306, 7.306 Å; angles 95.75, 95.75, 143.09 degrees
Fractional positions:
Ta (0.000, 0.000, 0.000)
Ta (0.313, 0.574, 0.887)
Ta (0.426, 0.313, 0.740)
Ta (0.574, 0.687, 0.260)
Ta (0.687, 0.426, 0.113)
Mo (0.134, 0.763, 0.897)
Mo (0.237, 0.134, 0.371)
Mo (0.763, 0.866, 0.629)
Mo (0.866, 0.237, 0.103)
W (0.099, 0.396, 0.494)
W (0.396, 0.901, 0.297)
W (0.604, 0.099, 0.703)
W (0.901, 0.604, 0.506)

Top 6 peaks for 10 to 90 degrees two-theta, sorted by position:
2θ = 38.41°, rel. 100; 2θ = 38.94°, rel. 26; 2θ = 47.29°, rel. 21; 2θ = 62.87°, rel. 18; 2θ = 70.18°, rel. 19; 2θ = 81.95°, rel. 10



# 3
Calculated XRD peak list of Ta3Mo4W2 for copper Kα, from a PBE-relaxed structure.

Structural model:
Cell lengths 4.525, 4.525, 8.403 Å; angles 90.00, 90.00, 120.00 degrees
Fractional positions:
Ta (0.000, 0.000, 0.000)
Ta (0.333, 0.667, 0.562)
Ta (0.667, 0.333, 0.438)
Mo (0.000, 0.000, 0.334)
Mo (0.000, 0.000, 0.666)
Mo (0.333, 0.667, 0.890)
Mo (0.667, 0.333, 0.110)
W (0.333, 0.667, 0.219)
W (0.667, 0.333, 0.781)

Top 6 peaks for 10 to 90 degrees two-theta, sorted by position:
2θ = 39.55°, rel. 100; 2θ = 39.84°, rel. 98; 2θ = 57.39°, rel. 34; 2θ = 71.54°, rel. 17; 2θ = 72.14°, rel. 34; 2θ = 72.34°, rel. 17



# 4
Calculated XRD peak list of Ta7Mo2W2 for copper Kα, from a PBE-relaxed structure.

Structural model:
Cell lengths 6.359, 6.359, 5.288 Å; angles 103.71, 103.71, 94.64 degrees
Fractional positions:
Ta (0.000, 0.000, 0.000)
Ta (0.084, 0.576, 0.825)
Ta (0.213, 0.213, 0.534)
Ta (0.424, 0.916, 0.175)
Ta (0.576, 0.084, 0.825)
Ta (0.787, 0.787, 0.466)
Ta (0.916, 0.424, 0.175)
Mo (0.412, 0.412, 0.165)
Mo (0.588, 0.588, 0.835)
W (0.267, 0.733, 0.500)
W (0.733, 0.267, 0.500)

Top 6 peaks for 10 to 90 degrees two-theta, sorted by position:
2θ = 33.24°, rel. 17; 2θ = 35.29°, rel. 16; 2θ = 38.49°, rel. 100; 2θ = 40.35°, rel. 32; 2θ = 42.00°, rel. 13; 2θ = 69.63°, rel. 17



# 5
Calculated XRD peak list of Ta8Mo3W2 for copper Kα, from a PBE-relaxed structure.

Structural model:
Cell lengths 9.085, 9.085, 4.906 Å; angles 91.96, 91.96, 35.46 degrees
Fractional positions:
Ta (0.072, 0.072, 0.441)
Ta (0.081, 0.592, 0.110)
Ta (0.360, 0.360, 0.637)
Ta (0.408, 0.919, 0.890)
Ta (0.592, 0.081, 0.110)
Ta (0.640, 0.640, 0.363)
Ta (0.919, 0.408, 0.890)
Ta (0.928, 0.928, 0.559)
Mo (0.248, 0.752, 0.000)
Mo (0.500, 0.500, 0.500)
Mo (0.752, 0.248, 0.000)
W (0.218, 0.218, 0.390)
W (0.782, 0.782, 0.610)

Top 6 peaks for 10 to 90 degrees two-theta, sorted by position:
2θ = 36.70°, rel. 21; 2θ = 37.32°, rel. 100; 2θ = 38.56°, rel. 71; 2θ = 39.96°, rel. 38; 2θ = 45.44°, rel. 23; 2θ = 67.78°, rel. 35



# 6
Calculated XRD peak list of Ta2Mo4W3 for copper Kα, from a PBE-relaxed structure.

Structural model:
Cell lengths 4.513, 4.513, 8.343 Å; angles 90.00, 90.00, 120.00 degrees
Fractional positions:
Ta (0.333, 0.667, 0.221)
Ta (0.667, 0.333, 0.779)
Mo (0.000, 0.000, 0.337)
Mo (0.000, 0.000, 0.663)
Mo (0.333, 0.667, 0.888)
Mo (0.667, 0.333, 0.112)
W (0.000, 0.000, 0.000)
W (0.333, 0.667, 0.559)
W (0.667, 0.333, 0.441)

Top 6 peaks for 10 to 90 degrees two-theta, sorted by position:
2θ = 39.78°, rel. 100; 2θ = 39.96°, rel. 98; 2θ = 57.66°, rel. 34; 2θ = 72.09°, rel. 17; 2θ = 72.45°, rel. 34; 2θ = 72.57°, rel. 17



# 7
Calculated XRD peak list of Ta2Mo2W3 for copper Kα, from a PBE-relaxed structure.

Structural model:
Cell lengths 5.325, 5.325, 5.328 Å; angles 95.41, 95.41, 50.41 degrees
Fractional positions:
Ta (0.073, 0.073, 0.282)
Ta (0.927, 0.927, 0.718)
Mo (0.358, 0.358, 0.425)
Mo (0.642, 0.642, 0.575)
W (0.216, 0.216, 0.852)
W (0.500, 0.500, 0.000)
W (0.784, 0.784, 0.148)

Top 6 peaks for 10 to 90 degrees two-theta, sorted by position:
2θ = 39.66°, rel. 100; 2θ = 39.76°, rel. 100; 2θ = 57.41°, rel. 34; 2θ = 71.91°, rel. 17; 2θ = 72.11°, rel. 46; 2θ = 85.69°, rel. 11



# 8
Calculated XRD peak list of Ta2Mo7W3 for copper Kα, from a PBE-relaxed structure.

Structural model:
Cell lengths 11.179, 11.179, 4.391 Å; angles 90.00, 90.00, 156.85 degrees
Fractional positions:
Ta (0.147, 0.853, 0.000)
Ta (0.853, 0.147, 0.000)
Mo (0.000, 0.000, 0.000)
Mo (0.072, 0.928, 0.500)
Mo (0.285, 0.715, 0.000)
Mo (0.428, 0.572, 0.000)
Mo (0.572, 0.428, 0.000)
Mo (0.715, 0.285, 0.000)
Mo (0.928, 0.072, 0.500)
W (0.354, 0.646, 0.500)
W (0.500, 0.500, 0.500)
W (0.646, 0.354, 0.500)

Top 6 peaks for 10 to 90 degrees two-theta, sorted by position:
2θ = 40.20°, rel. 26; 2θ = 40.72°, rel. 100; 2θ = 41.12°, rel. 25; 2θ = 58.86°, rel. 18; 2θ = 73.41°, rel. 18; 2θ = 74.65°, rel. 17



# 9
Calculated XRD peak list of Ta2Mo5W2 for copper Kα, from a PBE-relaxed structure.

Structural model:
Cell lengths 6.926, 6.926, 9.742 Å; angles 110.93, 110.93, 44.55 degrees
Fractional positions:
Ta (0.000, 0.500, 0.500)
Ta (0.222, 0.778, 0.750)
Ta (0.500, 0.000, 0.000)
Ta (0.778, 0.222, 0.250)
Mo (0.068, 0.136, 0.593)
Mo (0.136, 0.068, 0.093)
Mo (0.227, 0.371, 0.809)
Mo (0.371, 0.227, 0.309)
Mo (0.500, 0.500, 0.000)
Mo (0.500, 0.500, 0.500)
Mo (0.629, 0.773, 0.691)
Mo (0.773, 0.629, 0.191)
Mo (0.864, 0.932, 0.907)
Mo (0.932, 0.864, 0.407)
W (0.145, 0.598, 0.132)
W (0.402, 0.855, 0.368)
W (0.598, 0.145, 0.632)
W (0.855, 0.402, 0.868)

Top 6 peaks for 10 to 90 degrees two-theta, sorted by position:
2θ = 32.89°, rel. 41; 2θ = 37.81°, rel. 53; 2θ = 39.39°, rel. 47; 2θ = 39.71°, rel. 100; 2θ = 39.94°, rel. 47; 2θ = 60.34°, rel. 17



# 10
Calculated XRD peak list of TaMo4W3 for copper Kα, from a PBE-relaxed structure.

Structural model:
Cell lengths 3.184, 4.512, 9.025 Å; angles 90.00, 90.00, 90.00 degrees
Fractional positions:
Ta (0.000, 0.000, 0.000)
Mo (0.500, 0.000, 0.254)
Mo (0.500, 0.000, 0.746)
Mo (0.500, 0.500, 0.000)
Mo (0.500, 0.500, 0.500)
W (0.000, 0.000, 0.500)
W (0.000, 0.500, 0.251)
W (0.000, 0.500, 0.749)

Top 6 peaks for 10 to 90 degrees two-theta, sorted by position:
2θ = 27.99°, rel. 11; 2θ = 39.99°, rel. 100; 2θ = 57.80°, rel. 11; 2θ = 57.93°, rel. 6; 2θ = 72.64°, rel. 34; 2θ = 86.34°, rel. 8



# 11
Calculated XRD peak list of TaMo3W for copper Kα, from a PBE-relaxed structure.

Structural model:
Cell lengths 13.373, 5.170, 4.871 Å; angles 90.00, 90.00, 90.00 degrees
Fractional positions:
Ta (0.250, 0.000, 0.138)
Ta (0.250, 0.500, 0.362)
Ta (0.750, 0.000, 0.862)
Ta (0.750, 0.500, 0.638)
Mo (0.052, 0.250, 0.250)
Mo (0.144, 0.501, 0.818)
Mo (0.144, 0.999, 0.682)
Mo (0.356, 0.001, 0.682)
Mo (0.356, 0.499, 0.818)
Mo (0.448, 0.750, 0.250)
Mo (0.552, 0.250, 0.750)
Mo (0.644, 0.501, 0.182)
Mo (0.644, 0.999, 0.318)
Mo (0.856, 0.001, 0.318)
Mo (0.856, 0.499, 0.182)
Mo (0.948, 0.750, 0.750)
W (0.054, 0.750, 0.250)
W (0.446, 0.250, 0.250)
W (0.554, 0.750, 0.750)
W (0.946, 0.250, 0.750)

Top 6 peaks for 10 to 90 degrees two-theta, sorted by position:
2θ = 36.93°, rel. 53; 2θ = 37.30°, rel. 62; 2θ = 38.40°, rel. 100; 2θ = 41.54°, rel. 39; 2θ = 44.59°, rel. 75; 2θ = 85.86°, rel. 22



# 12
Calculated XRD peak list of TaMo2W for copper Kα, from a PBE-relaxed structure.

Structural model:
Cell lengths 2.788, 4.509, 5.303 Å; angles 90.00, 99.96, 90.00 degrees
Fractional positions:
Ta (0.000, 0.000, 0.000)
Mo (0.254, 0.500, 0.748)
Mo (0.746, 0.500, 0.252)
W (0.500, 0.000, 0.500)

Top 6 peaks for 10 to 90 degrees two-theta, sorted by position:
2θ = 39.63°, rel. 50; 2θ = 39.73°, rel. 100; 2θ = 39.89°, rel. 99; 2θ = 39.99°, rel. 49; 2θ = 57.57°, rel. 50; 2θ = 72.42°, rel. 43